Record 1
For KTbVO4, a GGA+U-relaxed structure gives the simulated powder XRD pattern in this record (Cu Kα, 1.54184 Å).
No peak broadening, texture or thermal motion is included.

abc: 5.9611 5.9447 7.3644
angles: 90.00 107.61 90.00
Space group P2_1/m (No. 11)
Symmetry-distinct sites (fractional):
K: 0.2138 0.2500 0.4390 (multiplicity 2)
Tb: 0.3199 0.2500 0.9589 (multiplicity 2)
V: 0.2149 0.7500 0.1565 (multiplicity 2)
O: 0.0211 0.7500 0.9257 (multiplicity 2)
O: 0.0307 0.7500 0.3067 (multiplicity 2)
O: 0.4489 0.5261 0.1753 (multiplicity 4)

Principal peaks in the range 10° ≤ 2θ ≤ 90°, low angle first:
d/Å	2theta	I/Imax
7.019	12.6	100.0
4.107	21.6	32.5
3.018	29.6	32.6
2.972	30.1	29.3
2.420	37.2	24.6
2.406	37.4	24.7

Record 2
For K2TbV2O6, a GGA+U-relaxed structure gives the simulated powder XRD pattern in this record (Cu Kα, 1.54184 Å).
No peak broadening, texture or thermal motion is included.

abc: 6.1238 6.1238 18.1729
angles: 90.00 90.00 120.00
Space group R-3m (No. 166, hexagonal axes)
Symmetry-distinct sites (fractional):
K: 0.0000 0.0000 0.2077 (multiplicity 6)
Tb: 0.0000 0.0000 0.0000 (multiplicity 3)
V: 0.0000 0.0000 0.4194 (multiplicity 6)
O: 0.0030 0.5015 0.2547 (multiplicity 18)

Principal peaks in the range 10° ≤ 2θ ≤ 90°, low angle first:
d/Å	2theta	I/Imax
4.580	19.4	82.5
3.062	29.2	93.1
2.998	29.8	100.0
2.290	39.3	27.2
2.142	42.2	32.7
1.755	52.1	37.8